1.
For Pa2SiIr, a cell relaxed with GGA-PBE gives the computed powder diffraction line list in this record (Cu Kα (λ = 1.5418 Å)).
Lines closer than 0.1° are merged.

Most intense lines, 2θ = 10–90°, in order of falling intensity:
| 2θ/deg | I_rel |
| --- | --- |
| 32.88 | 100 |
| 32.37 | 76 |
| 33.58 | 50 |
| 40.01 | 46 |
| 44.10 | 38 |
| 28.19 | 36 |
| 46.18 | 36 |
| 40.86 | 35 |
| 32.56 | 34 |
| 34.05 | 30 |

Unit cell a=5.808 b=3.931 c=7.981 alpha=90.00 beta=108.77 gamma=90.00
Sites, in units of the cell vectors:
Pa: 0.203 0.250 0.412
Pa: 0.284 0.750 0.070
Pa: 0.716 0.250 0.930
Pa: 0.797 0.750 0.588
Si: 0.360 0.750 0.702
Si: 0.640 0.250 0.298
Ir: 0.127 0.250 0.798
Ir: 0.873 0.750 0.202



2.
For PrNdSm2Er5, a cell relaxed with GGA-PBE gives the computed powder diffraction line list in this record (Cu Kα (λ = 1.5418 Å)).
Lines closer than 0.1° are merged.

Most intense lines, 2θ = 10–90°, in order of falling intensity:
| 2θ/deg | I_rel |
| --- | --- |
| 30.98 | 100 |
| 28.92 | 50 |
| 28.73 | 50 |
| 43.10 | 21 |
| 52.56 | 20 |
| 37.60 | 17 |
| 32.43 | 15 |
| 37.19 | 14 |
| 56.35 | 13 |
| 47.24 | 13 |

Unit cell a=9.866 b=9.866 c=9.866 alpha=127.48 beta=127.48 gamma=77.47
Sites, in units of the cell vectors:
Pr: 0.250 0.250 0.000
Pr: 0.750 0.750 0.000
Nd: 0.250 0.750 0.500
Nd: 0.750 0.250 0.500
Sm: 0.117 0.617 0.733
Sm: 0.383 0.117 0.500
Sm: 0.617 0.883 0.500
Sm: 0.883 0.383 0.267
Er: 0.000 0.000 0.000
Er: 0.072 0.157 0.500
Er: 0.157 0.657 0.085
Er: 0.343 0.428 0.500
Er: 0.428 0.928 0.085
Er: 0.500 0.500 0.000
Er: 0.572 0.072 0.915
Er: 0.657 0.572 0.500
Er: 0.843 0.343 0.915
Er: 0.928 0.843 0.500



3.
For KVBr5, a cell relaxed with GGA-PBE gives the computed powder diffraction line list in this record (Cu Kα (λ = 1.5418 Å)).
Lines closer than 0.1° are merged.

Most intense lines, 2θ = 10–90°, in order of falling intensity:
| 2θ/deg | I_rel |
| --- | --- |
| 26.69 | 100 |
| 15.41 | 97 |
| 29.27 | 54 |
| 14.51 | 50 |
| 25.09 | 38 |
| 34.37 | 36 |
| 39.03 | 32 |
| 37.08 | 31 |
| 39.95 | 29 |
| 19.67 | 27 |

Unit cell a=7.311 b=7.311 c=7.311 alpha=113.82 beta=103.76 gamma=110.99
Sites, in units of the cell vectors:
K: 0.000 0.000 0.000
V: 0.197 0.697 0.500
Br: 0.339 0.096 0.757
Br: 0.339 0.582 0.243
Br: 0.467 0.692 0.775
Br: 0.911 0.411 0.500
Br: 0.917 0.692 0.225



4.
For Ca3PmPr3Te8, a cell relaxed with GGA-PBE gives the computed powder diffraction line list in this record (Cu Kα (λ = 1.5418 Å)).
Lines closer than 0.1° are merged.

Most intense lines, 2θ = 10–90°, in order of falling intensity:
| 2θ/deg | I_rel |
| --- | --- |
| 27.99 | 100 |
| 39.81 | 38 |
| 40.17 | 38 |
| 49.67 | 20 |
| 65.20 | 17 |
| 65.72 | 17 |
| 11.91 | 14 |
| 57.84 | 13 |
| 72.76 | 13 |
| 23.22 | 11 |

Unit cell a=9.058 b=9.058 c=9.058 alpha=59.42 beta=59.42 gamma=59.42
Sites, in units of the cell vectors:
Ca: 0.000 0.500 0.500
Ca: 0.500 0.000 0.500
Ca: 0.500 0.500 0.000
Pm: 0.500 0.500 0.500
Pr: 0.000 0.000 0.500
Pr: 0.000 0.500 0.000
Pr: 0.500 0.000 0.000
Te: 0.249 0.249 0.748
Te: 0.249 0.748 0.249
Te: 0.252 0.252 0.252
Te: 0.252 0.751 0.751
Te: 0.748 0.249 0.249
Te: 0.748 0.748 0.748
Te: 0.751 0.252 0.751
Te: 0.751 0.751 0.252



5.
For Th2Ge3Os2, a cell relaxed with GGA-PBE gives the computed powder diffraction line list in this record (Cu Kα (λ = 1.5418 Å)).
Lines closer than 0.1° are merged.

Most intense lines, 2θ = 10–90°, in order of falling intensity:
| 2θ/deg | I_rel |
| --- | --- |
| 33.08 | 100 |
| 34.29 | 93 |
| 42.91 | 50 |
| 41.99 | 49 |
| 61.60 | 35 |
| 35.87 | 34 |
| 31.50 | 32 |
| 55.79 | 29 |
| 38.74 | 28 |
| 40.92 | 25 |

Unit cell a=9.543 b=9.543 c=7.093 alpha=90.00 beta=90.00 gamma=153.94
Sites, in units of the cell vectors:
Th: 0.054 0.946 0.750
Th: 0.158 0.842 0.250
Th: 0.842 0.158 0.750
Th: 0.946 0.054 0.250
Ge: 0.221 0.779 0.750
Ge: 0.435 0.565 0.560
Ge: 0.435 0.565 0.940
Ge: 0.565 0.435 0.060
Ge: 0.565 0.435 0.440
Ge: 0.779 0.221 0.250
Os: 0.305 0.695 0.054
Os: 0.305 0.695 0.446
Os: 0.695 0.305 0.554
Os: 0.695 0.305 0.946



6.
For RbGaPb, a cell relaxed with GGA-PBE gives the computed powder diffraction line list in this record (Cu Kα (λ = 1.5418 Å)).
Lines closer than 0.1° are merged.

Most intense lines, 2θ = 10–90°, in order of falling intensity:
| 2θ/deg | I_rel |
| --- | --- |
| 29.60 | 100 |
| 34.92 | 39 |
| 36.92 | 18 |
| 37.83 | 17 |
| 27.31 | 16 |
| 53.89 | 12 |
| 26.59 | 12 |
| 49.72 | 12 |
| 62.07 | 12 |
| 63.30 | 12 |

Unit cell a=10.081 b=10.081 c=4.869 alpha=90.00 beta=90.00 gamma=152.71
Sites, in units of the cell vectors:
Rb: 0.089 0.911 0.750
Rb: 0.911 0.089 0.250
Ga: 0.351 0.649 0.750
Ga: 0.649 0.351 0.250
Pb: 0.249 0.751 0.250
Pb: 0.751 0.249 0.750



7.
For Ti6Al10W, a cell relaxed with GGA-PBE gives the computed powder diffraction line list in this record (Cu Kα (λ = 1.5418 Å)).
Lines closer than 0.1° are merged.

Most intense lines, 2θ = 10–90°, in order of falling intensity:
| 2θ/deg | I_rel |
| --- | --- |
| 40.53 | 100 |
| 40.66 | 75 |
| 39.43 | 60 |
| 13.30 | 49 |
| 21.04 | 48 |
| 31.48 | 46 |
| 28.40 | 39 |
| 16.23 | 32 |
| 58.75 | 25 |
| 73.92 | 24 |

Unit cell a=7.687 b=7.687 c=5.460 alpha=90.00 beta=90.00 gamma=120.00
Sites, in units of the cell vectors:
Ti: 0.000 0.373 0.309
Ti: 0.000 0.627 0.691
Ti: 0.373 0.000 0.309
Ti: 0.373 0.373 0.691
Ti: 0.627 0.000 0.691
Ti: 0.627 0.627 0.309
Al: 0.000 0.268 0.819
Al: 0.000 0.732 0.181
Al: 0.268 0.000 0.819
Al: 0.268 0.268 0.181
Al: 0.333 0.667 0.000
Al: 0.333 0.667 0.500
Al: 0.667 0.333 0.000
Al: 0.667 0.333 0.500
Al: 0.732 0.000 0.181
Al: 0.732 0.732 0.819
W: 0.000 0.000 0.500



8.
For Tb3Pr9Nd2, a cell relaxed with GGA-PBE gives the computed powder diffraction line list in this record (Cu Kα (λ = 1.5418 Å)).
Lines closer than 0.1° are merged.

Most intense lines, 2θ = 10–90°, in order of falling intensity:
| 2θ/deg | I_rel |
| --- | --- |
| 32.26 | 100 |
| 30.23 | 81 |
| 29.46 | 48 |
| 52.39 | 33 |
| 25.53 | 26 |
| 35.40 | 26 |
| 34.02 | 26 |
| 32.15 | 22 |
| 52.69 | 20 |
| 59.16 | 18 |

Unit cell a=9.241 b=9.241 c=13.956 alpha=90.00 beta=90.00 gamma=120.00
Sites, in units of the cell vectors:
Tb: 0.078 0.248 0.250
Tb: 0.171 0.922 0.250
Tb: 0.248 0.171 0.750
Tb: 0.752 0.829 0.250
Tb: 0.829 0.078 0.750
Tb: 0.922 0.752 0.750
Pr: 0.081 0.481 0.750
Pr: 0.129 0.725 0.540
Pr: 0.129 0.725 0.960
Pr: 0.275 0.405 0.540
Pr: 0.275 0.405 0.960
Pr: 0.401 0.919 0.750
Pr: 0.405 0.129 0.040
Pr: 0.405 0.129 0.460
Pr: 0.481 0.401 0.250
Pr: 0.519 0.599 0.750
Pr: 0.595 0.871 0.540
Pr: 0.595 0.871 0.960
Pr: 0.599 0.081 0.250
Pr: 0.725 0.595 0.040
Pr: 0.725 0.595 0.460
Pr: 0.871 0.275 0.040
Pr: 0.871 0.275 0.460
Pr: 0.919 0.519 0.250
Nd: 0.333 0.667 0.141
Nd: 0.333 0.667 0.359
Nd: 0.667 0.333 0.641
Nd: 0.667 0.333 0.859